# Ba3Na7Bi4
Simulated powder XRD pattern, Cu Kα. Input: a GGA-PBE-relaxed structure.

```
Ba3Na7Bi4
1.0
9.743 -2.661 0.000
9.743 2.661 0.000
-7.907 0.000 9.868
Ba Na Bi
3 7 4
Direct
0.000 0.000 0.000 Ba
0.297 0.297 0.256 Ba
0.703 0.703 0.744 Ba
0.000 0.000 0.500 Na
0.171 0.171 0.415 Na
0.326 0.326 0.991 Na
0.481 0.481 0.709 Na
0.519 0.519 0.291 Na
0.674 0.674 0.009 Na
0.829 0.829 0.585 Na
0.107 0.107 0.827 Bi
0.332 0.332 0.744 Bi
0.668 0.668 0.256 Bi
0.893 0.893 0.173 Bi
```

Most intense lines, 10 to 80 degrees two-theta, most intense first:
d_spacing	I/Imax
3.144	100
2.687	99
3.302	80
4.934	79
2.661	69
4.143	63
3.913	59
3.670	47
2.640	40
3.022	35